Starting from the PBE+U geometry in Alexandria, the powder diffraction line list of Na3Mn2P2C2O14 was simulated for Cu Kα.

Peak list (12 most intense, 2θ = 5–70°, low angle first)
2θ/deg, I/Imax
9.73, 100.0
16.60, 17.5
16.74, 17.7
19.41, 10.8
19.94, 15.3
24.38, 12.2
25.63, 27.8
26.45, 10.6
27.20, 33.5
33.60, 12.2
33.80, 20.0
34.52, 18.5

abc: 8.2993 8.4378 10.3366
angles: 107.78 106.59 103.18
Fractional positions:
Na1 0.0031 0.0120 0.2723
Na2 0.2307 0.7309 0.7326
Na3 0.2821 0.7239 0.2545
Na4 0.7179 0.2761 0.7455
Na5 0.7693 0.2691 0.2674
Na6 0.9969 0.9880 0.7277
Mn1 0.2003 0.4403 0.8507
Mn2 0.3056 0.0554 0.1474
Mn3 0.6944 0.9446 0.8526
Mn4 0.7997 0.5597 0.1493
P1 0.0519 0.2963 0.0693
P2 0.4463 0.1856 0.9242
P3 0.5537 0.8144 0.0758
P4 0.9481 0.7037 0.9307
C1 0.0254 0.2843 0.5842
C2 0.4712 0.2251 0.4103
C3 0.5288 0.7749 0.5897
C4 0.9746 0.7157 0.4158
O1 0.0249 0.7616 0.3183
O2 0.0277 0.6037 0.8305
O3 0.0570 0.7951 0.5519
O4 0.0966 0.8396 0.0828
O5 0.1467 0.1948 0.1510
O6 0.1740 0.4223 0.6479
O7 0.1822 0.4285 0.0357
O8 0.3230 0.0474 0.9615
O9 0.3232 0.0836 0.3513
O10 0.3253 0.2487 0.8257
O11 0.4089 0.6666 0.9328
O12 0.4369 0.6942 0.4576
O13 0.4667 0.9183 0.1733
O14 0.4921 0.7352 0.6954
O15 0.5079 0.2648 0.3046
O16 0.5333 0.0817 0.8267
O17 0.5631 0.3058 0.5424
O18 0.5911 0.3334 0.0672
O19 0.6747 0.7513 0.1743
O20 0.6768 0.9164 0.6487
O21 0.6770 0.9526 0.0385
O22 0.8178 0.5715 0.9643
O23 0.8260 0.5777 0.3521
O24 0.8533 0.8052 0.8490
O25 0.9034 0.1604 0.9172
O26 0.9430 0.2049 0.4481
O27 0.9723 0.3963 0.1695
O28 0.9751 0.2384 0.6817